Starting from the PBE geometry in Alexandria, the powder X-ray diffraction pattern of BaPa4Cu3S12 was simulated for Cu Ka.

Principal peaks in the range 10 to 90 degrees two-theta, by angle:
2θ (°), I (rel.)
18.11, 30
25.71, 100
36.69, 26
41.20, 20
45.34, 62
52.85, 15
59.68, 23
72.14, 25
83.76, 19
89.45, 7

Crystal structure
```
data_BaPa4Cu3S12
_chemical_formula_sum 'Ba2 Pa8 Cu6 S24'
_cell_length_a 9.7989
_cell_length_b 9.7989
_cell_length_c 9.7989
_cell_angle_alpha 90.00
_cell_angle_beta 90.00
_cell_angle_gamma 90.00
_space_group_name_H-M_alt 'I m -3'
_space_group_IT_number 204
_space_group_name_Hall '-I 2 2 3'
loop_
_atom_site_label
_atom_site_type_symbol
_atom_site_fract_x
_atom_site_fract_y
_atom_site_fract_z
Ba1 Ba 0.0000 0.0000 0.0000
Pa1 Pa 0.2500 0.2500 0.2500
Cu1 Cu 0.0000 0.0000 0.5000
S1 S 0.0000 0.1643 0.3152
```

Starting from the PBE geometry in Alexandria, the powder X-ray diffraction pattern of BaPaCuSe4 was simulated for Cu Ka.

Principal peaks in the range 10 to 90 degrees two-theta, by angle:
2θ (°), I (rel.)
10.52, 86
19.46, 75
26.23, 70
29.78, 43
32.30, 100
32.63, 93
33.92, 57
34.03, 49
39.51, 59
40.50, 49

Crystal structure
```
data_BaPaCuSe4
_chemical_formula_sum 'Ba2 Pa2 Cu2 Se8'
_cell_length_a 6.5199
_cell_length_b 6.7953
_cell_length_c 8.9106
_cell_angle_alpha 90.00
_cell_angle_beta 109.29
_cell_angle_gamma 90.00
_space_group_name_H-M_alt 'P 1 21/m 1'
_space_group_IT_number 11
loop_
_space_group_symop_operation_xyz
'x,y,z'
'-x,-y,-z'
'-x,y+1/2,-z'
'x,-y+1/2,z'
loop_
_atom_site_label
_atom_site_type_symbol
_atom_site_fract_x
_atom_site_fract_y
_atom_site_fract_z
Ba1 Ba 0.2348 0.2500 0.0520
Pa1 Pa 0.2361 0.2500 0.5593
Cu1 Cu 0.2222 0.7500 0.3288
Se1 Se 0.0343 0.5177 0.7123
Se2 Se 0.4163 0.7500 0.1427
Se3 Se 0.4596 0.7500 0.5944
```

Starting from the PBE geometry in Alexandria, the powder X-ray diffraction pattern of BaPaCuTe4 was simulated for Cu Ka.

Principal peaks in the range 10 to 90 degrees two-theta, by angle:
2θ (°), I (rel.)
26.06, 73
26.40, 80
27.72, 36
29.58, 77
29.89, 62
30.40, 78
34.12, 100
37.42, 50
37.52, 55
39.96, 46

Crystal structure
```
data_BaPaCuTe4
_chemical_formula_sum 'Ba2 Pa2 Cu2 Te8'
_cell_length_a 7.5821
_cell_length_b 6.4373
_cell_length_c 9.5893
_cell_angle_alpha 90.00
_cell_angle_beta 107.69
_cell_angle_gamma 90.00
_space_group_name_H-M_alt 'P 1 21/m 1'
_space_group_IT_number 11
loop_
_space_group_symop_operation_xyz
'x,y,z'
'-x,-y,-z'
'-x,y+1/2,-z'
'x,-y+1/2,z'
loop_
_atom_site_label
_atom_site_type_symbol
_atom_site_fract_x
_atom_site_fract_y
_atom_site_fract_z
Ba1 Ba 0.2429 0.2500 0.0617
Pa1 Pa 0.2703 0.2500 0.5594
Cu1 Cu 0.2668 0.7500 0.3226
Te1 Te 0.0151 0.5054 0.7157
Te2 Te 0.4245 0.7500 0.5980
Te3 Te 0.4378 0.7500 0.1322
```

Starting from the PBE geometry in Alexandria, the powder X-ray diffraction pattern of Ba3Cu2Pd7 was simulated for Cu Ka.

Principal peaks in the range 10 to 90 degrees two-theta, by angle:
2θ (°), I (rel.)
29.73, 32
31.48, 28
32.53, 38
36.68, 49
37.16, 23
37.61, 100
40.39, 31
60.15, 25
61.73, 24
65.72, 30

Crystal structure
```
data_Ba3Cu2Pd7
_chemical_formula_sum 'Ba9 Cu6 Pd21'
_cell_length_a 5.6829
_cell_length_b 5.6829
_cell_length_c 26.5657
_cell_angle_alpha 90.00
_cell_angle_beta 90.00
_cell_angle_gamma 120.00
_space_group_name_H-M_alt 'R -3 m'
_space_group_IT_number 166
_space_group_name_Hall '-R 3 2"'
loop_
_atom_site_label
_atom_site_type_symbol
_atom_site_fract_x
_atom_site_fract_y
_atom_site_fract_z
Ba1 Ba 0.0000 0.0000 0.0000
Ba2 Ba 0.0000 0.0000 0.1395
Cu1 Cu 0.0000 0.0000 0.3329
Pd1 Pd 0.0000 0.0000 0.5000
Pd2 Pd 0.0010 0.5005 0.0778
```

Starting from the PBE geometry in Alexandria, the powder X-ray diffraction pattern of Ba2CuSbPd6 was simulated for Cu Ka.

Principal peaks in the range 10 to 90 degrees two-theta, by angle:
2θ (°), I (rel.)
13.94, 46
26.63, 73
27.49, 93
28.06, 57
36.71, 83
37.55, 100
38.50, 79
39.83, 48
39.94, 38
42.40, 41

Crystal structure
```
data_Ba2CuSbPd6
_chemical_formula_sum 'Ba4 Cu2 Sb2 Pd12'
_cell_length_a 12.7311
_cell_length_b 5.7477
_cell_length_c 8.6704
_cell_angle_alpha 90.00
_cell_angle_beta 132.73
_cell_angle_gamma 90.00
_space_group_name_H-M_alt 'C 1 2/m 1'
_space_group_IT_number 12
loop_
_space_group_symop_operation_xyz
'x,y,z'
'-x,-y,-z'
'-x,y,-z'
'x,-y,z'
'x+1/2,y+1/2,z'
'-x+1/2,-y+1/2,-z'
'-x+1/2,y+1/2,-z'
'x+1/2,-y+1/2,z'
loop_
_atom_site_label
_atom_site_type_symbol
_atom_site_fract_x
_atom_site_fract_y
_atom_site_fract_z
Ba1 Ba 0.2363 0.0000 0.2784
Cu1 Cu 0.0000 0.5000 0.0000
Sb1 Sb 0.0000 0.0000 0.5000
Pd1 Pd 0.0190 0.2607 0.7652
Pd2 Pd 0.2458 0.5000 0.1029
```

Starting from the PBE geometry in Alexandria, the powder X-ray diffraction pattern of BaPrCu2Te4 was simulated for Cu Ka.

Principal peaks in the range 10 to 90 degrees two-theta, by angle:
2θ (°), I (rel.)
26.02, 75
26.89, 26
29.44, 79
32.44, 69
33.40, 100
40.51, 27
44.07, 39
54.54, 20
55.41, 24
60.88, 19

Crystal structure
```
data_BaPrCu2Te4
_chemical_formula_sum 'Ba2 Pr2 Cu4 Te8'
_cell_length_a 7.0360
_cell_length_b 8.2937
_cell_length_c 8.8984
_cell_angle_alpha 90.00
_cell_angle_beta 90.00
_cell_angle_gamma 90.00
_space_group_name_H-M_alt 'I 2 2 2'
_space_group_IT_number 23
loop_
_space_group_symop_operation_xyz
'x,y,z'
'-x,-y,z'
'x,-y,-z'
'-x,y,-z'
'x+1/2,y+1/2,z+1/2'
'-x+1/2,-y+1/2,z+1/2'
'x+1/2,-y+1/2,-z+1/2'
'-x+1/2,y+1/2,-z+1/2'
loop_
_atom_site_label
_atom_site_type_symbol
_atom_site_fract_x
_atom_site_fract_y
_atom_site_fract_z
Ba1 Ba 0.0000 0.0000 0.0000
Pr1 Pr 0.0000 0.0000 0.5000
Cu1 Cu 0.0000 0.5000 0.1440
Te1 Te 0.2486 0.2878 0.7873
```

Starting from the PBE geometry in Alexandria, the powder X-ray diffraction pattern of Ba3CuPt2 was simulated for Cu Ka.

Principal peaks in the range 10 to 90 degrees two-theta, by angle:
2θ (°), I (rel.)
27.68, 44
28.35, 92
29.21, 100
29.63, 52
32.00, 52
35.25, 28
37.29, 52
39.19, 61
40.90, 29
59.14, 35

Crystal structure
```
data_Ba3CuPt2
_chemical_formula_sum 'Ba12 Cu4 Pt8'
_cell_length_a 12.5932
_cell_length_b 4.5979
_cell_length_c 12.9703
_cell_angle_alpha 90.00
_cell_angle_beta 90.00
_cell_angle_gamma 90.00
_space_group_name_H-M_alt 'P n m a'
_space_group_IT_number 62
loop_
_space_group_symop_operation_xyz
'x,y,z'
'-x,-y,-z'
'-x+1/2,-y,z+1/2'
'x+1/2,y,-z+1/2'
'x+1/2,-y+1/2,-z+1/2'
'-x+1/2,y+1/2,z+1/2'
'-x,y+1/2,-z'
'x,-y+1/2,z'
loop_
_atom_site_label
_atom_site_type_symbol
_atom_site_fract_x
_atom_site_fract_y
_atom_site_fract_z
Ba1 Ba 0.0588 0.2500 0.1226
Ba2 Ba 0.1197 0.7500 0.5553
Ba3 Ba 0.2018 0.2500 0.8047
Cu1 Cu 0.1266 0.2500 0.3676
Pt1 Pt 0.0366 0.7500 0.3196
Pt2 Pt 0.1949 0.7500 0.9782
```

Starting from the PBE geometry in Alexandria, the powder X-ray diffraction pattern of Ba2CuSb3Pt4 was simulated for Cu Ka.

Principal peaks in the range 10 to 90 degrees two-theta, by angle:
2θ (°), I (rel.)
27.98, 11
31.63, 100
38.05, 55
43.60, 33
47.00, 11
50.29, 25
54.91, 19
59.19, 12
64.77, 20
72.60, 14

Crystal structure
```
data_Ba2CuSb3Pt4
_chemical_formula_sum 'Ba2 Cu1 Sb3 Pt4'
_cell_length_a 4.7295
_cell_length_b 4.7295
_cell_length_c 10.5916
_cell_angle_alpha 90.00
_cell_angle_beta 90.00
_cell_angle_gamma 90.00
_space_group_name_H-M_alt 'P -4 m 2'
_space_group_IT_number 115
loop_
_space_group_symop_operation_xyz
'x,y,z'
'y,-x,-z'
'-x,-y,z'
'-y,x,-z'
'-x,y,z'
'-y,-x,-z'
'x,-y,z'
'y,x,-z'
loop_
_atom_site_label
_atom_site_type_symbol
_atom_site_fract_x
_atom_site_fract_y
_atom_site_fract_z
Ba1 Ba 0.0000 0.5000 0.2437
Cu1 Cu 0.5000 0.5000 0.0000
Sb1 Sb 0.0000 0.0000 0.0000
Sb2 Sb 0.0000 0.5000 0.6280
Pt1 Pt 0.0000 0.0000 0.5000
Pt2 Pt 0.0000 0.5000 0.8831
Pt3 Pt 0.5000 0.5000 0.5000
```

Starting from the PBE geometry in Alexandria, the powder X-ray diffraction pattern of Ba2CuSn4Pt3 was simulated for Cu Ka.

Principal peaks in the range 10 to 90 degrees two-theta, by angle:
2θ (°), I (rel.)
31.03, 89
31.20, 99
37.66, 100
42.77, 55
45.96, 29
49.56, 49
54.31, 36
60.87, 25
63.94, 37
71.49, 25

Crystal structure
```
data_Ba2CuSn4Pt3
_chemical_formula_sum 'Ba2 Cu1 Sn4 Pt3'
_cell_length_a 4.7776
_cell_length_b 4.7776
_cell_length_c 10.8426
_cell_angle_alpha 90.00
_cell_angle_beta 90.00
_cell_angle_gamma 90.00
_space_group_name_H-M_alt 'P -4 m 2'
_space_group_IT_number 115
loop_
_space_group_symop_operation_xyz
'x,y,z'
'y,-x,-z'
'-x,-y,z'
'-y,x,-z'
'-x,y,z'
'-y,-x,-z'
'x,-y,z'
'y,x,-z'
loop_
_atom_site_label
_atom_site_type_symbol
_atom_site_fract_x
_atom_site_fract_y
_atom_site_fract_z
Ba1 Ba 0.0000 0.5000 0.2445
Cu1 Cu 0.5000 0.5000 0.0000
Sn1 Sn 0.0000 0.0000 0.5000
Sn2 Sn 0.0000 0.5000 0.8791
Sn3 Sn 0.5000 0.5000 0.5000
Pt1 Pt 0.0000 0.0000 0.0000
Pt2 Pt 0.0000 0.5000 0.6266
```

Starting from the PBE geometry in Alexandria, the powder X-ray diffraction pattern of BaPu2CuS5 was simulated for Cu Ka.

Principal peaks in the range 10 to 90 degrees two-theta, by angle:
2θ (°), I (rel.)
13.07, 48
21.05, 18
26.32, 38
26.82, 65
26.95, 69
32.90, 100
37.27, 32
42.62, 45
49.70, 30
53.52, 19

Crystal structure
```
data_BaPu2CuS5
_chemical_formula_sum 'Ba4 Pu8 Cu4 S20'
_cell_length_a 7.6289
_cell_length_b 7.6289
_cell_length_c 13.5450
_cell_angle_alpha 90.00
_cell_angle_beta 90.00
_cell_angle_gamma 90.00
_space_group_name_H-M_alt 'I 4/m c m'
_space_group_IT_number 140
_space_group_name_Hall '-I 4 2c'
loop_
_atom_site_label
_atom_site_type_symbol
_atom_site_fract_x
_atom_site_fract_y
_atom_site_fract_z
Ba1 Ba 0.0000 0.0000 0.2500
Pu1 Pu 0.1633 0.3367 0.0000
Cu1 Cu 0.0000 0.5000 0.2500
S1 S 0.0000 0.0000 0.0000
S2 S 0.1485 0.3515 0.3702
```

Starting from the PBE geometry in Alexandria, the powder X-ray diffraction pattern of BaPu2CuS4 was simulated for Cu Ka.

Principal peaks in the range 10 to 90 degrees two-theta, by angle:
2θ (°), I (rel.)
23.49, 78
26.36, 100
30.36, 34
32.44, 74
35.32, 25
40.27, 32
44.70, 45
44.85, 51
51.13, 20
52.63, 23

Crystal structure
```
data_BaPu2CuS4
_chemical_formula_sum 'Ba4 Pu8 Cu4 S16'
_cell_length_a 4.0519
_cell_length_b 13.5365
_cell_length_c 13.7104
_cell_angle_alpha 90.00
_cell_angle_beta 90.00
_cell_angle_gamma 90.00
_space_group_name_H-M_alt 'C m c m'
_space_group_IT_number 63
_space_group_name_Hall '-C 2c 2'
loop_
_atom_site_label
_atom_site_type_symbol
_atom_site_fract_x
_atom_site_fract_y
_atom_site_fract_z
Ba1 Ba 0.0000 0.1094 0.2500
Pu1 Pu 0.0000 0.3677 0.0580
Cu1 Cu 0.0000 0.1590 0.7500
S1 S 0.0000 0.0000 0.0000
S2 S 0.0000 0.2639 0.6153
S3 S 0.0000 0.4318 0.2500
```

Starting from the PBE geometry in Alexandria, the powder X-ray diffraction pattern of BaCu2Rh3S8 was simulated for Cu Ka.

Principal peaks in the range 10 to 90 degrees two-theta, by angle:
2θ (°), I (rel.)
13.51, 69
23.00, 72
26.77, 77
28.19, 100
28.87, 93
33.95, 96
43.28, 52
44.69, 61
47.01, 63
50.48, 90

Crystal structure
```
data_BaCu2Rh3S8
_chemical_formula_sum 'Ba3 Cu6 Rh9 S24'
_cell_length_a 7.2313
_cell_length_b 7.2313
_cell_length_c 19.6586
_cell_angle_alpha 90.00
_cell_angle_beta 90.00
_cell_angle_gamma 120.00
_space_group_name_H-M_alt 'R 3 m'
_space_group_IT_number 160
_space_group_name_Hall 'R 3 -2"'
loop_
_atom_site_label
_atom_site_type_symbol
_atom_site_fract_x
_atom_site_fract_y
_atom_site_fract_z
Ba1 Ba 0.0000 0.0000 0.0000
Cu1 Cu 0.0000 0.0000 0.3565
Cu2 Cu 0.0000 0.0000 0.7798
Rh1 Rh 0.1679 0.3358 0.1933
S1 S 0.0000 0.0000 0.1407
S2 S 0.0000 0.0000 0.5886
S3 S 0.0330 0.5165 0.1202
S4 S 0.1976 0.3953 0.9289
```